CuPdS: calculated XRD peak list (λ = 1.5418 Å (Cu Kα)), based on a DFT-relaxed cell (GGA-PBE, Alexandria).
No peak broadening, texture or thermal motion is included.

```
data_CuPdS
_cell_length_a 6.074
_cell_length_b 7.411
_cell_length_c 4.165
_cell_angle_alpha 90.00
_cell_angle_beta 90.00
_cell_angle_gamma 90.00
_space_group_name_H-M_alt 'P n a 21'
_space_group_IT_number 33
loop_
_space_group_symop_operation_xyz
'x,y,z'
'-x,-y,z+1/2'
'-x+1/2,y+1/2,z+1/2'
'x+1/2,-y+1/2,z'
loop_
_atom_site_label
_atom_site_type_symbol
_atom_site_fract_x
_atom_site_fract_y
_atom_site_fract_z
_atom_site_occupancy
Cu1 Cu 0.131 0.184 0.000 1
Pd1 Pd 0.057 0.624 0.988 1
S1 S 0.194 0.910 0.230 1
```

Most intense lines, 2θ from 10° to 80°, sorted by position:
Position (°2θ)  intensity
18.9  25
28.2  11
35.6  100
36.6  52
38.6  17
42.5  19
43.4  16
47.4  10
49.2  10
51.4  18
52.6  24
74.7  11